Calculated powder diffractogram
Compound: Tl2Ge2Br5
Radiation: CuKα
Structure: a cell relaxed with GGA-PBE
Kinematic intensities with the Lorentz-polarization factor, no thermal factor.

Unit cell a=20.6371 b=7.6434 c=8.1488 alpha=90.00 beta=90.00 gamma=90.00
Space group Ima2 (No. 46)
One atom of each set of equivalent atoms:
Tl (0.1307, 0.0253, 0.0000)
Ge (0.0000, 0.0000, 0.5587)
Ge (0.2500, 0.5573, 0.2008)
Br (0.0255, 0.2487, 0.7691)
Br (0.1343, 0.5837, 0.0481)
Br (0.2500, 0.2267, 0.2080)

Main lines, by angle (10° ≤ 2θ ≤ 80°):
15.90 deg, 5.575 Å, intensity 29.5, (0 1 1)
23.49 deg, 3.787 Å, intensity 68.7, (4 1 1)
26.11 deg, 3.412 Å, intensity 24.6, (1 2 1)
27.90 deg, 3.197 Å, intensity 100.0, (4 0 2)
29.08 deg, 3.071 Å, intensity 46.6, (4 2 0)
32.11 deg, 2.787 Å, intensity 61.4, (0 2 2)
34.78 deg, 2.580 Å, intensity 33.6, (8 0 0)
41.04 deg, 2.199 Å, intensity 30.6, (4 3 1)
48.05 deg, 1.893 Å, intensity 29.7, (8 2 2)
54.03 deg, 1.697 Å, intensity 22.1, (4 2 4)